Record 1
This entry pairs a crystal structure of YHoC4 with its calculated XRD peak list. Radiation: a wavelength of 1.5418 Å. Structure: a cell relaxed with GGA-PBE.

Crystal structure
```
data_YHoC4
_symmetry_space_group_name_H-M 'P 1'
_symmetry_Int_Tables_number 1
_symmetry_space_group_name_Hall 'P 1'
_cell_length_a 3.668
_cell_length_b 3.668
_cell_length_c 6.195
_cell_angle_alpha 90.00
_cell_angle_beta 90.00
_cell_angle_gamma 90.00
loop_
_atom_site_label
_atom_site_type_symbol
_atom_site_fract_x
_atom_site_fract_y
_atom_site_fract_z
Y1 Y 0.000 0.000 0.000
Ho1 Ho 0.500 0.500 0.500
C1 C 0.000 0.000 0.395
C2 C 0.000 0.000 0.605
C3 C 0.500 0.500 0.105
C4 C 0.500 0.500 0.895
```

The 10 most intense peaks (2θ = 10–90°), sorted by position:
d/Å  intensity
6.195  13
3.156  100
3.097  36
2.593  55
1.988  40
1.834  19
1.799  30
1.586  29
1.578  19
1.284  19

Record 2
This entry pairs a crystal structure of Sr2CeCdS5 with its calculated XRD peak list. Radiation: a wavelength of 1.5418 Å. Structure: a cell relaxed with GGA-PBE.

Crystal structure
```
data_Sr2CeCdS5
_symmetry_space_group_name_H-M 'P 1'
_symmetry_Int_Tables_number 1
_symmetry_space_group_name_Hall 'P 1'
_cell_length_a 8.929
_cell_length_b 8.929
_cell_length_c 12.683
_cell_angle_alpha 90.00
_cell_angle_beta 90.00
_cell_angle_gamma 153.18
loop_
_atom_site_label
_atom_site_type_symbol
_atom_site_fract_x
_atom_site_fract_y
_atom_site_fract_z
Sr1 Sr 0.104 0.896 0.500
Sr2 Sr 0.126 0.874 0.128
Sr3 Sr 0.874 0.126 0.628
Sr4 Sr 0.896 0.104 0.000
Ce1 Ce 0.213 0.787 0.836
Ce2 Ce 0.787 0.213 0.336
Cd1 Cd 0.461 0.539 0.276
Cd2 Cd 0.539 0.461 0.776
S1 S 0.060 0.940 0.886
S2 S 0.281 0.719 0.480
S3 S 0.303 0.697 0.194
S4 S 0.367 0.633 0.821
S5 S 0.497 0.503 0.591
S6 S 0.503 0.497 0.091
S7 S 0.633 0.367 0.321
S8 S 0.697 0.303 0.694
S9 S 0.719 0.281 0.980
S10 S 0.940 0.060 0.386
```

The 10 most intense peaks (2θ = 10–90°), sorted by position:
d/Å  intensity
3.801  42
3.583  27
3.401  43
3.369  35
3.256  35
2.917  100
2.823  74
2.454  38
2.071  33
1.670  38

Record 3
This entry pairs a crystal structure of Pm6Tl3Ir with its calculated XRD peak list. Radiation: a wavelength of 1.5418 Å. Structure: a cell relaxed with GGA-PBE.

Crystal structure
```
data_Pm6Tl3Ir
_symmetry_space_group_name_H-M 'P 1'
_symmetry_Int_Tables_number 1
_symmetry_space_group_name_Hall 'P 1'
_cell_length_a 11.554
_cell_length_b 3.808
_cell_length_c 14.668
_cell_angle_alpha 90.00
_cell_angle_beta 107.91
_cell_angle_gamma 90.00
loop_
_atom_site_label
_atom_site_type_symbol
_atom_site_fract_x
_atom_site_fract_y
_atom_site_fract_z
Pm1 Pm 0.003 0.250 0.178
Pm2 Pm 0.096 0.750 0.416
Pm3 Pm 0.275 0.250 0.843
Pm4 Pm 0.329 0.250 0.263
Pm5 Pm 0.378 0.250 0.639
Pm6 Pm 0.401 0.750 0.069
Pm7 Pm 0.599 0.250 0.931
Pm8 Pm 0.622 0.750 0.361
Pm9 Pm 0.671 0.750 0.737
Pm10 Pm 0.725 0.750 0.157
Pm11 Pm 0.904 0.250 0.584
Pm12 Pm 0.997 0.750 0.822
Tl1 Tl 0.139 0.750 0.651
Tl2 Tl 0.141 0.250 0.018
Tl3 Tl 0.386 0.750 0.453
Tl4 Tl 0.614 0.250 0.547
Tl5 Tl 0.859 0.750 0.982
Tl6 Tl 0.861 0.250 0.349
Ir1 Ir 0.450 0.750 0.801
Ir2 Ir 0.550 0.250 0.199
```

The 10 most intense peaks (2θ = 10–90°), sorted by position:
d/Å  intensity
3.402  36
2.946  100
2.929  54
2.873  43
2.768  42
2.686  66
2.564  65
2.552  41
2.526  38
1.904  42